# MgAs3C
Simulated X-ray diffraction stick pattern, Cu Kα, 1.54184 Å. Input: the GGA-PBE geometry in Alexandria.
Kinematic intensities with the Lorentz-polarization factor, no thermal factor.

Atomic structure:
Unit cell a=4.4376 b=4.4376 c=4.4376 alpha=90.00 beta=90.00 gamma=90.00
Space group Pm-3m (No. 221)
Symmetry-distinct sites (fractional):
1 Mg 0.0000 0.0000 0.0000 [1 per cell]
2 As 0.0000 0.5000 0.5000 [3 per cell]
3 C 0.5000 0.5000 0.5000 [1 per cell]

Peak list (12 most intense, 10 to 90 degrees two-theta, sorted by position)
| 2theta | d_spacing | Rel. int. | hkl |
| --- | --- | --- | --- |
| 20.0 | 4.438 | 21 | 1 0 0 |
| 28.4 | 3.138 | 7 | 1 1 0 |
| 35.0 | 2.562 | 100 | 1 1 1 |
| 40.7 | 2.219 | 58 | 2 0 0 |
| 45.7 | 1.985 | 9 | 2 1 0 |
| 50.4 | 1.812 | 3 | 2 1 1 |
| 58.9 | 1.569 | 38 | 2 2 0 |
| 62.8 | 1.479 | 4 | 3 0 0 |
| 70.4 | 1.338 | 39 | 3 1 1 |
| 74.0 | 1.281 | 13 | 2 2 2 |
| 81.1 | 1.186 | 2 | 3 2 1 |
| 88.0 | 1.109 | 6 | 4 0 0 |